# 1
Theoretical X-ray diffraction stick pattern of Pr3Dy5Y2 for Cu Kα X-rays, from a structure optimized by DFT (PBE).

Crystal structure
```
data_Pr3Dy5Y2
_chemical_formula_sum 'Pr12 Dy20 Y8'
_cell_length_a 10.796
_cell_length_b 15.943
_cell_length_c 9.522
_cell_angle_alpha 90.00
_cell_angle_beta 124.34
_cell_angle_gamma 90.00
_space_group_name_H-M_alt 'C 1 2/c 1'
_space_group_IT_number 15
loop_
_space_group_symop_operation_xyz
'x,y,z'
'-x,-y,-z'
'-x,y,-z+1/2'
'x,-y,z+1/2'
'x+1/2,y+1/2,z'
'-x+1/2,-y+1/2,-z'
'-x+1/2,y+1/2,-z+1/2'
'x+1/2,-y+1/2,z+1/2'
loop_
_atom_site_label
_atom_site_type_symbol
_atom_site_fract_x
_atom_site_fract_y
_atom_site_fract_z
Pr1 Pr 0.000 0.233 0.250
Pr2 Pr 0.145 0.124 0.047
Dy1 Dy 0.000 0.025 0.250
Dy2 Dy 0.000 0.271 0.750
Dy3 Dy 0.000 0.470 0.750
Dy4 Dy 0.239 0.387 0.230
Y1 Y 0.151 0.383 0.546
```

Peak list (6 most intense, 2θ from 15° to 90°, sorted by position)
2theta	d [Å]	I/Imax
30.10	2.969	100
30.28	2.952	83
31.98	2.799	17
33.19	2.699	42
48.81	1.866	17
57.41	1.605	23



# 2
Theoretical X-ray diffraction stick pattern of Pr2Dy5Y12 for Cu Kα X-rays, from a structure optimized by DFT (PBE).

Crystal structure
```
data_Pr2Dy5Y12
_chemical_formula_sum 'Pr2 Dy5 Y12'
_cell_length_a 6.347
_cell_length_b 8.722
_cell_length_c 11.940
_cell_angle_alpha 91.35
_cell_angle_beta 92.74
_cell_angle_gamma 109.00
_space_group_name_H-M_alt 'P 1'
_space_group_IT_number 1
loop_
_space_group_symop_operation_xyz
'x,y,z'
loop_
_atom_site_label
_atom_site_type_symbol
_atom_site_fract_x
_atom_site_fract_y
_atom_site_fract_z
Pr1 Pr 0.000 0.000 0.000
Pr2 Pr 0.410 0.825 0.959
Dy1 Dy 0.395 0.312 0.308
Dy2 Dy 0.687 0.439 0.595
Dy3 Dy 0.770 0.892 0.713
Dy4 Dy 0.873 0.060 0.281
Dy5 Dy 0.947 0.449 0.327
Y1 Y 0.103 0.252 0.548
Y2 Y 0.160 0.456 0.070
Y3 Y 0.193 0.665 0.711
Y4 Y 0.282 0.865 0.233
Y5 Y 0.375 0.113 0.770
Y6 Y 0.430 0.662 0.456
Y7 Y 0.520 0.056 0.492
Y8 Y 0.594 0.221 0.066
Y9 Y 0.637 0.541 0.881
Y10 Y 0.692 0.669 0.179
Y11 Y 0.955 0.292 0.818
Y12 Y 0.984 0.809 0.471
```

Peak list (6 most intense, 2θ from 15° to 90°, sorted by position)
2theta	d [Å]	I/Imax
30.59	2.923	17
31.37	2.852	10
31.48	2.842	100
31.83	2.812	14
31.87	2.808	43
32.64	2.743	53



# 3
Theoretical X-ray diffraction stick pattern of Pr2Dy7Y4 for Cu Kα X-rays, from a structure optimized by DFT (PBE).

Crystal structure
```
data_Pr2Dy7Y4
_chemical_formula_sum 'Pr2 Dy7 Y4'
_cell_length_a 6.1082
_cell_length_b 6.1082
_cell_length_c 13.3435
_cell_angle_alpha 90.00
_cell_angle_beta 90.00
_cell_angle_gamma 120.00
_space_group_name_H-M_alt 'P -3 1 m'
_space_group_IT_number 162
_space_group_name_Hall '-P 3 2'
loop_
_atom_site_label
_atom_site_type_symbol
_atom_site_fract_x
_atom_site_fract_y
_atom_site_fract_z
Pr1 Pr 0.3333 0.6667 0.0000
Dy1 Dy 0.0000 0.0000 0.0000
Dy2 Dy 0.0000 0.3563 0.2174
Y1 Y 0.0000 0.0000 0.3946
Y2 Y 0.3333 0.6667 0.5000
```

Peak list (6 most intense, 2θ from 15° to 90°, sorted by position)
2theta	d [Å]	I/Imax
26.72	3.336	26
30.02	2.977	58
32.24	2.777	100
35.66	2.518	47
50.78	1.798	22
51.85	1.763	29



# 4
Theoretical X-ray diffraction stick pattern of Pr8Dy4Y for Cu Kα X-rays, from a structure optimized by DFT (PBE).

Crystal structure
```
data_Pr8Dy4Y
_chemical_formula_sum 'Pr8 Dy4 Y1'
_cell_length_a 6.785
_cell_length_b 6.836
_cell_length_c 11.456
_cell_angle_alpha 77.96
_cell_angle_beta 77.56
_cell_angle_gamma 63.17
_space_group_name_H-M_alt 'P 1'
_space_group_IT_number 1
loop_
_space_group_symop_operation_xyz
'x,y,z'
loop_
_atom_site_label
_atom_site_type_symbol
_atom_site_fract_x
_atom_site_fract_y
_atom_site_fract_z
Pr1 Pr 0.000 0.000 0.000
Pr2 Pr 0.012 0.513 0.881
Pr3 Pr 0.319 0.302 0.579
Pr4 Pr 0.470 0.475 0.005
Pr5 Pr 0.534 0.002 0.887
Pr6 Pr 0.579 0.675 0.439
Pr7 Pr 0.677 0.179 0.297
Pr8 Pr 0.878 0.856 0.582
Dy1 Dy 0.207 0.159 0.215
Dy2 Dy 0.316 0.797 0.725
Dy3 Dy 0.713 0.688 0.151
Dy4 Dy 0.794 0.320 0.704
Y1 Y 0.151 0.653 0.292
```

Peak list (6 most intense, 2θ from 15° to 90°, sorted by position)
2theta	d [Å]	I/Imax
29.88	2.990	64
30.82	2.901	94
31.64	2.828	63
31.87	2.808	100
32.11	2.787	77
32.24	2.777	76



# 5
Theoretical X-ray diffraction stick pattern of Pr7DyY2 for Cu Kα X-rays, from a structure optimized by DFT (PBE).

Crystal structure
```
data_Pr7DyY2
_chemical_formula_sum 'Pr14 Dy2 Y4'
_cell_length_a 12.232
_cell_length_b 17.107
_cell_length_c 3.542
_cell_angle_alpha 90.00
_cell_angle_beta 90.00
_cell_angle_gamma 90.00
_space_group_name_H-M_alt 'C m m m'
_space_group_IT_number 65
_space_group_name_Hall '-C 2 2'
loop_
_atom_site_label
_atom_site_type_symbol
_atom_site_fract_x
_atom_site_fract_y
_atom_site_fract_z
Pr1 Pr 0.000 0.000 0.000
Pr2 Pr 0.000 0.177 0.500
Pr3 Pr 0.245 0.129 0.000
Dy1 Dy 0.000 0.500 0.500
Y1 Y 0.000 0.334 0.000
```

Peak list (6 most intense, 2θ from 15° to 90°, sorted by position)
2theta	d [Å]	I/Imax
25.41	3.505	51
29.18	3.060	100
30.60	2.922	73
31.37	2.851	21
36.06	2.490	31
37.13	2.421	50



# 6
Theoretical X-ray diffraction stick pattern of Pr3Dy4Y for Cu Kα X-rays, from a structure optimized by DFT (PBE).

Crystal structure
```
data_Pr3Dy4Y
_chemical_formula_sum 'Pr6 Dy8 Y2'
_cell_length_a 10.224
_cell_length_b 7.219
_cell_length_c 7.213
_cell_angle_alpha 90.00
_cell_angle_beta 90.00
_cell_angle_gamma 90.00
_space_group_name_H-M_alt 'P m n a'
_space_group_IT_number 53
loop_
_space_group_symop_operation_xyz
'x,y,z'
'-x,-y,-z'
'-x+1/2,-y,z+1/2'
'x+1/2,y,-z+1/2'
'x,-y,-z'
'-x,y,z'
'-x+1/2,y,-z+1/2'
'x+1/2,-y,z+1/2'
loop_
_atom_site_label
_atom_site_type_symbol
_atom_site_fract_x
_atom_site_fract_y
_atom_site_fract_z
Pr1 Pr 0.000 0.000 0.000
Pr2 Pr 0.250 0.251 0.250
Dy1 Dy 0.000 0.000 0.500
Dy2 Dy 0.000 0.500 0.000
Dy3 Dy 0.250 0.250 0.750
Y1 Y 0.000 0.500 0.500
```

Peak list (6 most intense, 2θ from 15° to 90°, sorted by position)
2theta	d [Å]	I/Imax
30.32	2.948	100
35.15	2.553	51
50.56	1.805	36
60.08	1.540	29
60.15	1.538	14
82.30	1.172	15



# 7
Theoretical X-ray diffraction stick pattern of PrDy8Y3 for Cu Kα X-rays, from a structure optimized by DFT (PBE).

Crystal structure
```
data_PrDy8Y3
_chemical_formula_sum 'Pr2 Dy16 Y6'
_cell_length_a 6.431
_cell_length_b 11.359
_cell_length_c 11.373
_cell_angle_alpha 90.00
_cell_angle_beta 90.00
_cell_angle_gamma 90.00
_space_group_name_H-M_alt 'I m m m'
_space_group_IT_number 71
_space_group_name_Hall '-I 2 2'
loop_
_atom_site_label
_atom_site_type_symbol
_atom_site_fract_x
_atom_site_fract_y
_atom_site_fract_z
Pr1 Pr 0.000 0.000 0.000
Dy1 Dy 0.000 0.169 0.251
Dy2 Dy 0.247 0.256 0.000
Y1 Y 0.000 0.000 0.500
Y2 Y 0.000 0.500 0.244
```

Peak list (6 most intense, 2θ from 15° to 90°, sorted by position)
2theta	d [Å]	I/Imax
15.60	5.679	38
31.47	2.843	78
31.62	2.830	100
31.98	2.799	88
35.32	2.541	42
35.77	2.511	68



# 8
Theoretical X-ray diffraction stick pattern of Pr3Dy4Y4 for Cu Kα X-rays, from a structure optimized by DFT (PBE).

Crystal structure
```
data_Pr3Dy4Y4
_chemical_formula_sum 'Pr6 Dy8 Y8'
_cell_length_a 10.684
_cell_length_b 5.750
_cell_length_c 12.113
_cell_angle_alpha 90.00
_cell_angle_beta 90.00
_cell_angle_gamma 90.00
_space_group_name_H-M_alt 'A m m 2'
_space_group_IT_number 38
loop_
_space_group_symop_operation_xyz
'x,y,z'
'-x,-y,z'
'-x,y,z'
'x,-y,z'
'x,y+1/2,z+1/2'
'-x,-y+1/2,z+1/2'
'-x,y+1/2,z+1/2'
'x,-y+1/2,z+1/2'
loop_
_atom_site_label
_atom_site_type_symbol
_atom_site_fract_x
_atom_site_fract_y
_atom_site_fract_z
Pr1 Pr 0.000 0.000 0.000
Pr2 Pr 0.297 0.000 0.148
Dy1 Dy 0.000 0.000 0.701
Dy2 Dy 0.214 0.000 0.500
Dy3 Dy 0.500 0.000 0.634
Y1 Y 0.000 0.000 0.301
Y2 Y 0.291 0.000 0.844
Y3 Y 0.500 0.000 0.362
```

Peak list (6 most intense, 2θ from 15° to 90°, sorted by position)
2theta	d [Å]	I/Imax
30.43	2.937	31
30.69	2.914	15
31.11	2.875	37
31.84	2.810	100
33.55	2.671	16
55.81	1.647	20